Starting from a structure optimized by DFT (GGA-PBE), the powder XRD pattern of Rb2MgSiS4 was calculated for λ = 1.5418 Å (Cu Kα).
Neutral-atom scattering factors, no anomalous dispersion.

Structural model:
```
16
Lattice="0.000 6.850 12.184 2.938 0.000 12.184 2.938 6.850 0.000" Properties=species:S:1:pos:R:3 pbc="T T T"
Rb 2.204 5.137 1.326
Rb 3.673 8.562 7.418
Rb 2.204 5.137 16.949
Rb 3.673 8.562 23.041
Mg 0.735 1.712 3.046
Mg 5.142 11.987 21.321
Si 2.204 5.137 9.138
Si 3.673 8.562 15.230
S 3.463 3.876 7.931
S 3.463 6.399 10.345
S 4.932 7.301 16.437
S 4.932 9.824 14.022
S 0.944 3.876 10.345
S 0.944 6.399 7.931
S 2.413 7.301 14.022
S 2.413 9.824 16.437
```

Largest 10 diffraction maxima, low angle first, 10° ≤ 2θ ≤ 90°:
- d 4.497, 2θ 19.74, intensity 46
- d 3.567, 2θ 24.96, intensity 22
- d 3.493, 2θ 25.50, intensity 57
- d 3.296, 2θ 27.06, intensity 100
- d 3.046, 2θ 29.32, intensity 24
- d 2.899, 2θ 30.85, intensity 66
- d 2.856, 2θ 31.32, intensity 21
- d 2.700, 2θ 33.18, intensity 25
- d 2.379, 2θ 37.81, intensity 40
- d 1.803, 2θ 50.63, intensity 27